Structure and theoretical powder XRD pattern of NiS2O6F2 (a crystal structure in Alexandria, relaxed with GGA+U; λ = 1.5418 Å (Cu Kα)).
Neutral-atom scattering factors, no anomalous dispersion.

Structure:
a b c (Å): 5.0353 5.0353 6.9894
angles (deg): 90.00 90.00 120.00
Space group P-3 (No. 147)
Asymmetric unit:
Ni: 0.0000 0.0000 0.0000
S: 0.3333 0.6667 0.7791
O: 0.0776 0.7122 0.8264
F: 0.3333 0.6667 0.5527

Top 10 peaks for 2θ = 10–90°, sorted by position:
- hkl 0 0 1, 12.67°, rel. 41
- hkl 1 0 1, 24.05°, rel. 100
- hkl 1 0 2, 32.84°, rel. 21
- hkl 1 1 0, 35.66°, rel. 20
- hkl 2 -1 1, 37.99°, rel. 9
- hkl 0 1 3, 44.07°, rel. 12
- hkl 2 -1 2, 44.34°, rel. 8
- hkl 2 0 2, 49.26°, rel. 8
- hkl 2 1 1, 57.45°, rel. 12
- hkl 3 0 0, 64.06°, rel. 8